Structure and theoretical powder XRD pattern of Tb3BeNi3 (a crystal structure in Alexandria, relaxed with GGA-PBE; Cu Kα).
Intensities are scaled so that the largest is 100.

```
14
Lattice="1.885 -5.020 0.000 1.885 5.020 0.000 0.000 0.000 13.585" Properties=species:S:1:pos:R:3 pbc="T T T"
Tb 1.885 5.003 10.189
Tb 1.885 2.215 8.220
Tb 1.885 2.215 12.158
Tb 1.885 -2.215 1.428
Tb 1.885 -2.215 5.365
Tb 1.885 -5.003 3.396
Be 0.000 0.000 0.000
Be 0.000 0.000 6.793
Ni 1.885 2.078 3.396
Ni 1.885 0.638 1.094
Ni 1.885 0.638 5.699
Ni 1.885 -0.638 7.886
Ni 1.885 -0.638 12.492
Ni 1.885 -2.078 10.189
```

The 10 most intense peaks (2θ = 5–70°), sorted by position:
28.5°, d = 3.132 Å, I = 50; 31.8°, d = 2.813 Å, I = 44; 32.2°, d = 2.784 Å, I = 70; 35.8°, d = 2.510 Å, I = 27; 35.9°, d = 2.503 Å, I = 33; 36.7°, d = 2.448 Å, I = 35; 39.8°, d = 2.264 Å, I = 36; 41.2°, d = 2.192 Å, I = 100; 48.3°, d = 1.885 Å, I = 29; 54.6°, d = 1.680 Å, I = 23

---

Structure and theoretical powder XRD pattern of TbBe4Ni4 (a crystal structure in Alexandria, relaxed with GGA-PBE; Cu Kα).
Intensities are scaled so that the largest is 100.

```
18
Lattice="7.273 0.000 0.000 0.000 7.273 0.000 0.000 0.000 4.092" Properties=species:S:1:pos:R:3 pbc="T T T"
Tb 1.818 1.818 1.023
Tb 5.455 5.455 3.069
Be 0.353 6.598 0.716
Be 0.675 3.990 2.762
Be 2.961 6.920 2.762
Be 3.283 4.312 0.716
Be 3.990 2.961 3.376
Be 4.312 0.353 1.330
Be 6.598 3.283 1.330
Be 6.920 0.675 3.376
Ni 0.929 6.336 2.716
Ni 0.937 4.566 0.669
Ni 2.700 6.344 0.669
Ni 2.707 4.573 2.716
Ni 4.566 2.700 1.377
Ni 4.573 0.929 3.423
Ni 6.336 2.707 3.423
Ni 6.344 0.937 1.377
```

The 10 most intense peaks (2θ = 5–70°), sorted by position:
24.5°, d = 3.636 Å, I = 32; 25.0°, d = 3.566 Å, I = 64; 34.9°, d = 2.571 Å, I = 16; 35.2°, d = 2.546 Å, I = 100; 39.2°, d = 2.300 Å, I = 70; 43.4°, d = 2.086 Å, I = 16; 46.1°, d = 1.970 Å, I = 15; 50.4°, d = 1.809 Å, I = 41; 60.6°, d = 1.529 Å, I = 22; 65.4°, d = 1.426 Å, I = 15

---

Structure and theoretical powder XRD pattern of BeTcNi2 (a crystal structure in Alexandria, relaxed with GGA-PBE; Cu Kα).
Intensities are scaled so that the largest is 100.

```
4
Lattice="-1.361 1.999 4.011 1.361 -1.999 4.011 1.361 1.999 -4.011" Properties=species:S:1:pos:R:3 pbc="T T T"
Be 0.000 0.000 0.000
Tc 0.000 0.000 4.011
Ni 1.361 0.000 1.816
Ni 0.000 1.999 2.194
```

The 10 most intense peaks (2θ = 5–70°), sorted by position:
24.9°, d = 3.578 Å, I = 29; 34.8°, d = 2.578 Å, I = 28; 40.6°, d = 2.222 Å, I = 31; 45.2°, d = 2.005 Å, I = 23; 45.4°, d = 1.999 Å, I = 28; 46.3°, d = 1.963 Å, I = 100; 58.4°, d = 1.580 Å, I = 12; 66.0°, d = 1.416 Å, I = 14; 67.8°, d = 1.382 Å, I = 9; 69.0°, d = 1.361 Å, I = 7

---

Structure and theoretical powder XRD pattern of TiBe8Ni3 (a crystal structure in Alexandria, relaxed with GGA-PBE; Cu Kα).
Intensities are scaled so that the largest is 100.

```
12
Lattice="4.244 0.000 0.000 -2.122 3.676 0.000 0.000 0.000 6.960" Properties=species:S:1:pos:R:3 pbc="T T T"
Ti 0.000 0.000 0.000
Be 0.000 1.204 4.724
Be -1.079 3.074 4.724
Be 0.000 2.450 3.089
Be 0.000 2.450 6.512
Be 2.122 0.020 1.418
Be 1.078 1.828 1.418
Be 1.079 3.074 4.724
Be 3.166 1.828 1.418
Ni 0.000 0.000 2.539
Ni 2.122 1.225 3.500
Ni 2.122 1.225 6.222
```

The 10 most intense peaks (2θ = 5–70°), sorted by position:
24.2°, d = 3.676 Å, I = 81; 25.6°, d = 3.480 Å, I = 48; 27.4°, d = 3.250 Å, I = 52; 35.5°, d = 2.527 Å, I = 42; 42.6°, d = 2.122 Å, I = 96; 46.3°, d = 1.962 Å, I = 100; 49.6°, d = 1.838 Å, I = 17; 50.4°, d = 1.812 Å, I = 75; 51.4°, d = 1.777 Å, I = 22; 64.7°, d = 1.441 Å, I = 21